[1]
Starting from the PBE+U geometry in the Materials Project, the powder X-ray diffraction pattern of LiVSiO4 was computed for Cu Ka.
No peak broadening, texture or thermal motion is included.

Principal peaks in the range 2θ = 15–90°, by angle:
2θ (°)  d [Å]  I (rel.)
15.5  5.708  69
21.5  4.136  100
21.9  4.058  91
23.1  3.848  95
28.9  3.088  50
31.3  2.854  71
34.6  2.596  49
35.0  2.562  65

Unit cell a=5.1260 b=10.3842 c=8.4546 alpha=90.00 beta=126.08 gamma=90.00
Fractional coordinates of all 28 atoms:
Li (0.1979, 0.1491, 0.0052)
Li (0.1979, 0.3509, 0.5052)
Li (0.8020, 0.6491, 0.4948)
Li (0.8020, 0.8509, 0.9948)
V (0.3034, 0.6679, 0.9900)
V (0.3034, 0.8321, 0.4900)
V (0.6966, 0.1679, 0.5100)
V (0.6966, 0.3321, 0.0100)
Si (0.0504, 0.5927, 0.2393)
Si (0.0504, 0.9073, 0.7393)
Si (0.9496, 0.0927, 0.2607)
Si (0.9496, 0.4073, 0.7607)
O (0.0135, 0.5624, 0.7618)
O (0.0135, 0.9376, 0.2618)
O (0.1325, 0.6582, 0.4417)
O (0.1325, 0.8418, 0.9417)
O (0.2695, 0.1657, 0.4494)
O (0.2695, 0.3343, 0.9494)
O (0.3585, 0.6223, 0.2316)
O (0.3585, 0.8777, 0.7316)
O (0.6415, 0.1223, 0.2684)
O (0.6415, 0.3777, 0.7684)
O (0.7305, 0.6657, 0.0506)
O (0.7305, 0.8343, 0.5506)
O (0.8675, 0.1582, 0.0583)
O (0.8675, 0.3418, 0.5583)
O (0.9865, 0.0624, 0.7382)
O (0.9865, 0.4376, 0.2382)

[2]
Starting from the PBE+U geometry in the Materials Project, the powder X-ray diffraction pattern of Sr2NiTeO6 was computed for Cu Ka.
No peak broadening, texture or thermal motion is included.

Principal peaks in the range 2θ = 15–90°, by angle:
2θ (°)  d [Å]  I (rel.)
18.4  4.819  63
18.5  4.792  53
29.2  3.057  53
31.6  2.833  100
32.5  2.757  43
32.7  2.738  42
46.1  1.969  58
46.8  1.943  57

Unit cell a=6.2958 b=6.2958 c=6.2958 alpha=128.45 beta=128.05 gamma=76.22
Fractional coordinates of all 10 atoms:
Sr (0.1916, 0.1916, 0.0000)
Sr (0.8084, 0.8084, 0.0000)
Ni (0.5000, 0.5000, 0.0000)
Te (0.5000, 0.0000, 0.5000)
O (0.2571, 0.2556, 0.5127)
O (0.2571, 0.7444, 0.0014)
O (0.3009, 0.8009, 0.5000)
O (0.6991, 0.1991, 0.5000)
O (0.7429, 0.2556, 0.9986)
O (0.7429, 0.7444, 0.4873)

[3]
Starting from the PBE+U geometry in the Materials Project, the powder X-ray diffraction pattern of Li9Mn2Co5O16 was computed for Cu Ka.
No peak broadening, texture or thermal motion is included.

Principal peaks in the range 2θ = 15–90°, by angle:
2θ (°)  d [Å]  I (rel.)
18.4  4.830  100
34.9  2.572  17
36.1  2.487  13
36.7  2.447  12
42.0  2.153  32
43.9  2.061  27
44.7  2.028  26
62.6  1.484  15

Unit cell a=2.9455 b=9.8005 c=10.1908 alpha=78.88 beta=88.61 gamma=86.58
Fractional coordinates of all 32 atoms:
Li (0.0000, 0.0000, 0.0000)
Li (0.0001, 0.4992, 0.2500)
Li (0.0143, 0.0077, 0.5002)
Li (0.4947, 0.7456, 0.6202)
Li (0.5024, 0.7484, 0.1242)
Li (0.5042, 0.2478, 0.3876)
Li (0.5111, 0.2545, 0.8672)
Li (0.9904, 0.2468, 0.6170)
Li (0.9946, 0.5005, 0.7459)
Mn (0.5053, 0.0080, 0.7413)
Mn (0.9987, 0.2515, 0.1208)
Co (0.0020, 0.7474, 0.3783)
Co (0.0149, 0.7504, 0.8777)
Co (0.5007, 0.4897, 0.5067)
Co (0.5011, 0.9983, 0.2480)
Co (0.5080, 0.5013, 0.9989)
O (0.0121, 0.1223, 0.3011)
O (0.0303, 0.6207, 0.5550)
O (0.0296, 0.8880, 0.6966)
O (0.0395, 0.6198, 0.0557)
O (0.4615, 0.1255, 0.0660)
O (0.4941, 0.6220, 0.3308)
O (0.4981, 0.1147, 0.5736)
O (0.4980, 0.6290, 0.8243)
O (0.5047, 0.3912, 0.6685)
O (0.5122, 0.8680, 0.4288)
O (0.5227, 0.8721, 0.9244)
O (0.5316, 0.3784, 0.1728)
O (0.9660, 0.3780, 0.9413)
O (0.9732, 0.3865, 0.4399)
O (0.9823, 0.1096, 0.8030)
O (0.9909, 0.8764, 0.1952)